1.
# Sc5TlCo
Computed powder XRD pattern, λ = 1.5418 Å (Cu Kα). Input: a DFT-relaxed cell (GGA-PBE, Alexandria).
Kinematic intensities with the Lorentz-polarization factor, no thermal factor.

Crystal structure
a b c (Å): 5.9047 5.9047 10.5588
angles (deg): 105.86 105.86 65.03
Fractional coordinates of all 14 atoms:
Sc 0.0160 0.9840 0.7500
Sc 0.0338 0.4070 0.6364
Sc 0.1968 0.5539 0.9513
Sc 0.4070 0.0338 0.1364
Sc 0.4461 0.8032 0.5487
Sc 0.5539 0.1968 0.4513
Sc 0.5930 0.9662 0.8636
Sc 0.8032 0.4461 0.0487
Sc 0.9662 0.5930 0.3636
Sc 0.9840 0.0160 0.2500
Tl 0.4604 0.5396 0.2500
Tl 0.5396 0.4604 0.7500
Co 0.0000 0.0000 0.0000
Co 0.0000 0.0000 0.5000

Peak list (6 most intense, 2θ from 10° to 90°, in order of rising 2θ)
d 5.264, intensity 48; d 4.710, intensity 87; d 4.003, intensity 100; d 2.632, intensity 95; d 2.579, intensity 83; d 1.961, intensity 52

---

2.
# Ba3Ru2PbO9
Computed powder XRD pattern, λ = 1.5418 Å (Cu Kα). Input: a DFT-relaxed cell (GGA-PBE, Alexandria).
Kinematic intensities with the Lorentz-polarization factor, no thermal factor.

Crystal structure
a b c (Å): 5.9509 5.9509 7.3676
angles (deg): 90.00 90.00 120.00
Fractional coordinates of all 15 atoms:
Ba 0.0000 0.0000 0.0000
Ba 0.3333 0.6667 0.6614
Ba 0.6667 0.3333 0.3386
Ru 0.3333 0.6667 0.1429
Ru 0.6667 0.3333 0.8571
Pb 0.0000 0.0000 0.5000
O 0.0000 0.5000 0.0000
O 0.1829 0.3658 0.3044
O 0.1829 0.8171 0.3044
O 0.3658 0.1829 0.6956
O 0.5000 0.0000 0.0000
O 0.5000 0.5000 0.0000
O 0.6342 0.8171 0.3044
O 0.8171 0.1829 0.6956
O 0.8171 0.6342 0.6956

Peak list (6 most intense, 2θ from 10° to 90°, in order of rising 2θ)
d 2.997, intensity 100; d 2.975, intensity 99; d 2.112, intensity 57; d 1.734, intensity 21; d 1.722, intensity 39; d 1.718, intensity 20

---

3.
# Pr3YAg4
Computed powder XRD pattern, λ = 1.5418 Å (Cu Kα). Input: a DFT-relaxed cell (GGA-PBE, Alexandria).
Kinematic intensities with the Lorentz-polarization factor, no thermal factor.

Crystal structure
a b c (Å): 3.7263 3.7263 15.1750
angles (deg): 90.00 90.00 90.00
Fractional coordinates of all 8 atoms:
Pr 0.0000 0.0000 0.0000
Pr 0.0000 0.0000 0.2546
Pr 0.0000 0.0000 0.7454
Y 0.0000 0.0000 0.5000
Ag 0.5000 0.5000 0.1269
Ag 0.5000 0.5000 0.3867
Ag 0.5000 0.5000 0.6133
Ag 0.5000 0.5000 0.8731

Peak list (6 most intense, 2θ from 10° to 90°, in order of rising 2θ)
d 2.658, intensity 100; d 2.635, intensity 50; d 1.863, intensity 18; d 1.539, intensity 17; d 1.526, intensity 35; d 1.329, intensity 10

---

4.
# CeNp4
Computed powder XRD pattern, λ = 1.5418 Å (Cu Kα). Input: a DFT-relaxed cell (GGA-PBE, Alexandria).
Kinematic intensities with the Lorentz-polarization factor, no thermal factor.

Crystal structure
a b c (Å): 5.2238 5.2238 5.2238
angles (deg): 90.00 90.00 90.00
Fractional coordinates of all 5 atoms:
Ce 0.0000 0.0000 0.0000
Np 0.0000 0.0000 0.5000
Np 0.0000 0.5000 0.0000
Np 0.5000 0.0000 0.0000
Np 0.5000 0.5000 0.5000

Peak list (6 most intense, 2θ from 10° to 90°, in order of rising 2θ)
d 3.016, intensity 100; d 2.612, intensity 94; d 1.847, intensity 70; d 1.575, intensity 46; d 1.508, intensity 24; d 1.168, intensity 33

---

5.
# Hf4SnTe2
Computed powder XRD pattern, λ = 1.5418 Å (Cu Kα). Input: a DFT-relaxed cell (GGA-PBE, Alexandria).
Kinematic intensities with the Lorentz-polarization factor, no thermal factor.

Crystal structure
a b c (Å): 9.0278 7.6509 7.6413
angles (deg): 72.36 53.87 53.77
Fractional coordinates of all 14 atoms:
Hf 0.1214 0.6169 0.7667
Hf 0.1328 0.2547 0.6284
Hf 0.2547 0.1328 0.9841
Hf 0.4951 0.7667 0.6169
Hf 0.6169 0.1214 0.4951
Hf 0.6284 0.9841 0.1328
Hf 0.7667 0.4951 0.1214
Hf 0.9841 0.6284 0.2547
Sn 0.0000 0.0000 0.0000
Sn 0.7500 0.7500 0.7500
Te 0.3089 0.8749 0.3739
Te 0.3739 0.4423 0.3089
Te 0.4423 0.3739 0.8749
Te 0.8749 0.3089 0.4423

Peak list (6 most intense, 2θ from 10° to 90°, in order of rising 2θ)
d 6.384, intensity 37; d 2.834, intensity 40; d 2.679, intensity 73; d 2.400, intensity 78; d 2.363, intensity 100; d 2.119, intensity 40

---

6.
# Na2Hg5Pd3
Computed powder XRD pattern, λ = 1.5418 Å (Cu Kα). Input: a DFT-relaxed cell (GGA-PBE, Alexandria).
Kinematic intensities with the Lorentz-polarization factor, no thermal factor.

Crystal structure
a b c (Å): 8.6984 8.6984 5.9276
angles (deg): 96.69 96.69 94.84
Fractional coordinates of all 20 atoms:
Na 0.0946 0.6844 0.9406
Na 0.3156 0.9054 0.5594
Na 0.6844 0.0946 0.4406
Na 0.9054 0.3156 0.0594
Hg 0.0020 0.9980 0.7500
Hg 0.2138 0.5548 0.4405
Hg 0.2433 0.3561 0.9492
Hg 0.3561 0.2433 0.4492
Hg 0.4452 0.7862 0.0595
Hg 0.5548 0.2138 0.9405
Hg 0.6439 0.7567 0.5508
Hg 0.7567 0.6439 0.0508
Hg 0.7862 0.4452 0.5595
Hg 0.9980 0.0020 0.2500
Pd 0.0383 0.2797 0.5600
Pd 0.2797 0.0383 0.0600
Pd 0.4958 0.5042 0.7500
Pd 0.5042 0.4958 0.2500
Pd 0.7203 0.9617 0.9400
Pd 0.9617 0.7203 0.4400

Peak list (6 most intense, 2θ from 10° to 90°, in order of rising 2θ)
d 6.405, intensity 100; d 3.390, intensity 69; d 2.641, intensity 75; d 2.613, intensity 86; d 2.444, intensity 99; d 2.269, intensity 83

---

7.
# La7Er4Mg
Computed powder XRD pattern, λ = 1.5418 Å (Cu Kα). Input: a DFT-relaxed cell (GGA-PBE, Alexandria).
Kinematic intensities with the Lorentz-polarization factor, no thermal factor.

Crystal structure
a b c (Å): 7.3946 7.3946 11.4765
angles (deg): 110.78 110.78 47.36
Fractional coordinates of all 12 atoms:
La 0.0000 0.0000 0.0000
La 0.1691 0.1691 0.5302
La 0.2852 0.2852 0.0069
La 0.4452 0.4452 0.6795
La 0.5548 0.5548 0.3205
La 0.7148 0.7148 0.9931
La 0.8309 0.8309 0.4698
Er 0.0650 0.0650 0.7554
Er 0.2356 0.2356 0.2718
Er 0.7644 0.7644 0.7282
Er 0.9350 0.9350 0.2446
Mg 0.5000 0.5000 0.0000

Peak list (6 most intense, 2θ from 10° to 90°, in order of rising 2θ)
d 2.980, intensity 100; d 2.968, intensity 80; d 2.645, intensity 18; d 2.546, intensity 16; d 2.103, intensity 18; d 1.716, intensity 22

---

8.
# CaBi2PdO6
Computed powder XRD pattern, λ = 1.5418 Å (Cu Kα). Input: a DFT-relaxed cell (GGA-PBE, Alexandria).
Kinematic intensities with the Lorentz-polarization factor, no thermal factor.

Crystal structure
a b c (Å): 5.9687 5.9687 5.9687
angles (deg): 58.63 58.63 58.63
Fractional coordinates of all 10 atoms:
Ca 0.0000 0.0000 0.0000
Bi 0.2753 0.2753 0.2753
Bi 0.7819 0.7819 0.7819
Pd 0.4850 0.4850 0.4850
O 0.1529 0.6802 0.3604
O 0.2170 0.6270 0.8238
O 0.3604 0.1529 0.6802
O 0.6270 0.8238 0.2170
O 0.6802 0.3604 0.1529
O 0.8238 0.2170 0.6270

Peak list (6 most intense, 2θ from 10° to 90°, in order of rising 2θ)
d 4.175, intensity 70; d 2.983, intensity 93; d 2.922, intensity 100; d 2.088, intensity 41; d 1.883, intensity 43; d 1.699, intensity 41

---

Repeat the fourth record exactly.
# CeNp4
Computed powder XRD pattern, λ = 1.5418 Å (Cu Kα). Input: a DFT-relaxed cell (GGA-PBE, Alexandria).
Kinematic intensities with the Lorentz-polarization factor, no thermal factor.

Crystal structure
a b c (Å): 5.2238 5.2238 5.2238
angles (deg): 90.00 90.00 90.00
Fractional coordinates of all 5 atoms:
Ce 0.0000 0.0000 0.0000
Np 0.0000 0.0000 0.5000
Np 0.0000 0.5000 0.0000
Np 0.5000 0.0000 0.0000
Np 0.5000 0.5000 0.5000

Peak list (6 most intense, 2θ from 10° to 90°, in order of rising 2θ)
d 3.016, intensity 100; d 2.612, intensity 94; d 1.847, intensity 70; d 1.575, intensity 46; d 1.508, intensity 24; d 1.168, intensity 33